1.
The following is a simulated powder X-ray diffraction pattern of Pr4Dy3Tm8. It was derived from a crystal structure in Alexandria, relaxed with GGA-PBE, using CuKα.

Largest 8 diffraction maxima, in order of falling intensity, 5° ≤ 2θ ≤ 70°:
- 2θ 31.48, I 100
- 2θ 36.17, I 73
- 2θ 30.33, I 54
- 2θ 62.14, I 44
- 2θ 52.83, I 36
- 2θ 51.34, I 23
- 2θ 29.89, I 22
- 2θ 60.80, I 17

Structure:
```
Pr4Dy3Tm8
1.0
3.466 2.001 11.787
-3.466 2.001 11.787
0.000 -4.002 11.787
Pr Dy Tm
4 3 8
Direct
0.000 0.000 0.000
0.163 0.163 0.163
0.500 0.500 0.500
0.837 0.837 0.837
0.000 0.500 0.500
0.500 0.000 0.500
0.500 0.500 0.000
0.250 0.250 0.747
0.250 0.747 0.250
0.253 0.750 0.750
0.256 0.256 0.256
0.744 0.744 0.744
0.747 0.250 0.250
0.750 0.253 0.750
0.750 0.750 0.253
```

2.
The following is a simulated powder X-ray diffraction pattern of Pr12Dy5Tm. It was derived from a crystal structure in Alexandria, relaxed with GGA-PBE, using CuKα.

Largest 8 diffraction maxima, in order of falling intensity, 5° ≤ 2θ ≤ 70°:
- 2θ 29.92, I 100
- 2θ 34.61, I 34
- 2θ 59.15, I 29
- 2θ 49.91, I 24
- 2θ 34.82, I 17
- 2θ 59.43, I 14
- 2θ 62.16, I 12
- 2θ 49.76, I 12

Structure:
```
Pr12Dy5Tm
1.0
7.729 -7.771 0.000
7.729 7.771 0.000
0.000 0.000 5.185
Pr Dy Tm
12 5 1
Direct
0.002 0.669 0.500
0.164 0.164 0.000
0.169 0.502 0.000
0.331 0.998 0.500
0.335 0.335 0.500
0.498 0.831 0.000
0.502 0.169 0.000
0.665 0.665 0.500
0.669 0.002 0.500
0.831 0.498 0.000
0.836 0.836 0.000
0.998 0.331 0.500
0.167 0.833 0.000
0.334 0.666 0.500
0.500 0.500 0.000
0.666 0.334 0.500
0.833 0.167 0.000
0.000 0.000 0.500
```

3.
The following is a simulated powder X-ray diffraction pattern of Pr4Dy10Tm. It was derived from a crystal structure in Alexandria, relaxed with GGA-PBE, using CuKα.

Largest 8 diffraction maxima, in order of falling intensity, 5° ≤ 2θ ≤ 70°:
- 2θ 31.59, I 100
- 2θ 31.70, I 94
- 2θ 40.68, I 63
- 2θ 30.59, I 51
- 2θ 27.40, I 47
- 2θ 33.67, I 45
- 2θ 67.19, I 32
- 2θ 34.75, I 29

Structure:
```
Pr4Dy10Tm
1.0
-5.664 5.664 3.978
5.664 -5.664 3.978
5.664 5.664 -3.978
Pr Dy Tm
4 10 1
Direct
0.228 0.228 0.455
0.228 0.772 0.000
0.772 0.228 0.000
0.772 0.772 0.545
0.085 0.293 0.792
0.250 0.750 0.500
0.293 0.085 0.792
0.293 0.501 0.208
0.499 0.707 0.792
0.501 0.293 0.208
0.707 0.499 0.792
0.707 0.915 0.208
0.750 0.250 0.500
0.915 0.707 0.208
0.000 0.000 0.000
```

4.
The following is a simulated powder X-ray diffraction pattern of Pr2Dy5Tm3. It was derived from a crystal structure in Alexandria, relaxed with GGA-PBE, using CuKα.

Largest 8 diffraction maxima, in order of falling intensity, 5° ≤ 2θ ≤ 70°:
- 2θ 32.34, I 100
- 2θ 31.80, I 94
- 2θ 32.01, I 83
- 2θ 32.44, I 82
- 2θ 31.62, I 69
- 2θ 29.33, I 43
- 2θ 33.58, I 34
- 2θ 30.49, I 26

Structure:
```
Pr2Dy5Tm3
1.0
6.760 0.000 0.000
-0.804 9.321 0.000
-3.046 -4.129 10.278
Pr Dy Tm
4 10 6
Direct
0.094 0.325 0.332
0.357 0.969 0.755
0.643 0.031 0.245
0.906 0.675 0.668
0.045 0.741 0.436
0.185 0.539 0.156
0.274 0.754 0.960
0.316 0.365 0.861
0.441 0.182 0.551
0.559 0.818 0.449
0.684 0.635 0.139
0.726 0.246 0.040
0.815 0.461 0.844
0.955 0.259 0.564
0.132 0.923 0.243
0.225 0.147 0.055
0.388 0.573 0.647
0.612 0.427 0.353
0.775 0.853 0.945
0.868 0.077 0.757
```

5.
The following is a simulated powder X-ray diffraction pattern of Pr3Dy2Tm8. It was derived from a crystal structure in Alexandria, relaxed with GGA-PBE, using CuKα.

Largest 8 diffraction maxima, in order of falling intensity, 5° ≤ 2θ ≤ 70°:
- 2θ 30.88, I 100
- 2θ 35.79, I 68
- 2θ 30.81, I 34
- 2θ 61.26, I 28
- 2θ 51.45, I 24
- 2θ 51.54, I 16
- 2θ 61.17, I 14
- 2θ 61.36, I 14

Structure:
```
Pr3Dy2Tm8
1.0
6.148 0.000 0.000
1.031 6.067 0.000
2.077 -0.322 11.012
Pr Dy Tm
3 2 8
Direct
0.000 0.000 0.000
0.231 0.462 0.080
0.769 0.538 0.920
0.384 0.770 0.462
0.616 0.230 0.538
0.077 0.151 0.688
0.153 0.308 0.387
0.309 0.612 0.764
0.463 0.925 0.159
0.537 0.075 0.841
0.691 0.388 0.236
0.847 0.692 0.613
0.923 0.849 0.312
```

6.
The following is a simulated powder X-ray diffraction pattern of Pr2Dy7Tm2. It was derived from a crystal structure in Alexandria, relaxed with GGA-PBE, using CuKα.

Largest 8 diffraction maxima, in order of falling intensity, 5° ≤ 2θ ≤ 70°:
- 2θ 31.96, I 100
- 2θ 33.90, I 67
- 2θ 31.27, I 48
- 2θ 31.73, I 28
- 2θ 30.90, I 28
- 2θ 25.55, I 23
- 2θ 45.15, I 17
- 2θ 50.20, I 14

Structure:
```
Pr2Dy7Tm2
1.0
5.659 -5.721 0.000
5.659 5.721 0.000
-2.390 0.000 5.548
Pr Dy Tm
2 7 2
Direct
0.230 0.230 0.095
0.770 0.770 0.905
0.000 0.000 0.500
0.060 0.590 0.325
0.410 0.940 0.675
0.415 0.415 0.700
0.585 0.585 0.300
0.590 0.060 0.325
0.940 0.410 0.675
0.220 0.780 0.000
0.780 0.220 0.000
```

7.
The following is a simulated powder X-ray diffraction pattern of Pr8Dy3Tm2. It was derived from a crystal structure in Alexandria, relaxed with GGA-PBE, using CuKα.

Largest 8 diffraction maxima, in order of falling intensity, 5° ≤ 2θ ≤ 70°:
- 2θ 32.84, I 100
- 2θ 30.90, I 45
- 2θ 29.13, I 40
- 2θ 30.48, I 34
- 2θ 24.50, I 25
- 2θ 56.20, I 22
- 2θ 39.82, I 14
- 2θ 66.32, I 11

Structure:
```
Pr8Dy3Tm2
1.0
10.205 -3.888 0.000
10.205 3.888 0.000
-0.001 0.000 5.788
Pr Dy Tm
8 3 2
Direct
0.098 0.689 0.000
0.175 0.175 0.500
0.311 0.902 0.000
0.369 0.369 0.501
0.631 0.631 0.499
0.689 0.098 0.000
0.825 0.825 0.500
0.902 0.311 0.000
0.214 0.786 0.500
0.500 0.500 0.000
0.786 0.214 0.500
0.261 0.261 0.001
0.739 0.739 0.999
```

8.
The following is a simulated powder X-ray diffraction pattern of Pr2Dy6Tm5. It was derived from a crystal structure in Alexandria, relaxed with GGA-PBE, using CuKα.

Largest 8 diffraction maxima, in order of falling intensity, 5° ≤ 2θ ≤ 70°:
- 2θ 32.27, I 100
- 2θ 32.12, I 61
- 2θ 30.96, I 53
- 2θ 31.67, I 43
- 2θ 31.98, I 38
- 2θ 34.41, I 38
- 2θ 36.68, I 27
- 2θ 51.11, I 23

Structure:
```
Pr2Dy6Tm5
1.0
11.676 0.000 0.000
0.000 20.090 0.000
0.000 0.000 3.574
Pr Dy Tm
4 12 10
Direct
0.165 0.217 0.000
0.335 0.717 0.000
0.665 0.283 0.000
0.835 0.783 0.000
0.058 0.923 0.000
0.079 0.635 0.000
0.178 0.376 0.500
0.322 0.876 0.500
0.421 0.135 0.000
0.442 0.423 0.000
0.558 0.577 0.000
0.579 0.865 0.000
0.678 0.124 0.500
0.822 0.624 0.500
0.921 0.365 0.000
0.942 0.077 0.000
0.000 0.500 0.500
0.096 0.779 0.500
0.200 0.052 0.500
0.300 0.552 0.500
0.404 0.279 0.500
0.500 0.000 0.500
0.596 0.721 0.500
0.700 0.448 0.500
0.800 0.948 0.500
0.904 0.221 0.500
```

9.
The following is a simulated powder X-ray diffraction pattern of Pr6Dy7Tm16. It was derived from a crystal structure in Alexandria, relaxed with GGA-PBE, using CuKα.

Largest 8 diffraction maxima, in order of falling intensity, 5° ≤ 2θ ≤ 70°:
- 2θ 32.18, I 100
- 2θ 57.38, I 26
- 2θ 46.16, I 14
- 2θ 29.50, I 8
- 2θ 67.34, I 7
- 2θ 34.20, I 6
- 2θ 27.78, I 6
- 2θ 33.70, I 5

Structure:
```
Pr6Dy7Tm16
1.0
0.000 7.866 7.866
7.866 0.000 7.866
7.866 7.866 0.000
Pr Dy Tm
6 7 16
Direct
0.232 0.232 0.768
0.232 0.768 0.232
0.232 0.768 0.768
0.768 0.232 0.232
0.768 0.232 0.768
0.768 0.768 0.232
0.000 0.000 0.500
0.000 0.500 0.000
0.000 0.500 0.500
0.500 0.000 0.000
0.500 0.000 0.500
0.500 0.500 0.000
0.500 0.500 0.500
0.115 0.628 0.628
0.150 0.150 0.150
0.150 0.150 0.549
0.150 0.549 0.150
0.372 0.372 0.372
0.372 0.372 0.885
0.372 0.885 0.372
0.451 0.850 0.850
0.549 0.150 0.150
0.628 0.115 0.628
0.628 0.628 0.115
0.628 0.628 0.628
0.850 0.451 0.850
0.850 0.850 0.451
0.850 0.850 0.850
0.885 0.372 0.372
```

10.
The following is a simulated powder X-ray diffraction pattern of Pr2DyTm5. It was derived from a crystal structure in Alexandria, relaxed with GGA-PBE, using CuKα.

Largest 5 diffraction maxima, in order of falling intensity, 5° ≤ 2θ ≤ 70°:
- 2θ 30.84, I 100
- 2θ 35.76, I 51
- 2θ 61.22, I 43
- 2θ 51.47, I 36
- 2θ 64.26, I 12

Structure:
```
Pr2DyTm5
1.0
7.099 0.000 0.000
0.000 14.199 0.000
0.000 0.000 5.024
Pr Dy Tm
4 2 10
Direct
0.248 0.125 0.000
0.252 0.625 0.000
0.748 0.375 0.000
0.752 0.875 0.000
0.000 0.500 0.500
0.500 0.000 0.500
0.000 0.000 0.500
0.002 0.750 0.500
0.248 0.375 0.000
0.252 0.875 0.000
0.498 0.250 0.500
0.500 0.500 0.500
0.502 0.750 0.500
0.748 0.125 0.000
0.752 0.625 0.000
0.998 0.250 0.500
```

11.
The following is a simulated powder X-ray diffraction pattern of Pr2Dy7Tm2. It was derived from a crystal structure in Alexandria, relaxed with GGA-PBE, using CuKα.

Largest 8 diffraction maxima, in order of falling intensity, 5° ≤ 2θ ≤ 70°:
- 2θ 33.22, I 100
- 2θ 30.90, I 36
- 2θ 34.86, I 20
- 2θ 56.44, I 20
- 2θ 26.96, I 17
- 2θ 31.10, I 17
- 2θ 27.97, I 14
- 2θ 60.66, I 13

Structure:
```
Pr2Dy7Tm2
1.0
8.809 -5.788 0.000
8.809 5.788 0.000
-0.725 0.000 3.521
Pr Dy Tm
2 7 2
Direct
0.230 0.770 0.000
0.770 0.230 0.000
0.082 0.581 0.331
0.124 0.124 0.127
0.419 0.918 0.669
0.500 0.500 0.500
0.581 0.082 0.331
0.876 0.876 0.873
0.918 0.419 0.669
0.300 0.300 0.801
0.700 0.700 0.199
```